Starting from a crystal structure in the Materials Project, relaxed with PBE, the powder diffraction line list of UBi was calculated for λ = 1.5418 Å (Cu Kα).
Intensities are scaled so that the largest is 100.

Largest 7 diffraction maxima, low angle first, 10° ≤ 2θ ≤ 90°:
- hkl 2 0 0, 28.04 deg, rel. 100
- hkl 2 2 0, 40.07 deg, rel. 79
- hkl 2 2 2, 49.62 deg, rel. 29
- hkl 4 0 0, 57.97 deg, rel. 14
- hkl 4 2 0, 65.61 deg, rel. 39
- hkl 4 2 2, 72.81 deg, rel. 29
- hkl 4 4 0, 86.51 deg, rel. 10

Cell and atoms:
a = 6.3639 Å, b = 6.3639 Å, c = 6.3639 Å
α = 90.00°, β = 90.00°, γ = 90.00°
Space group Fm-3m (No. 225)
Asymmetric unit:
U1 0.0000 0.0000 0.0000 x4
Bi1 0.0000 0.0000 0.5000 x4


Starting from a crystal structure in the Materials Project, relaxed with PBE, the powder diffraction line list of Na11TiNb2Si4P2O25F was calculated for λ = 1.5418 Å (Cu Kα).
Intensities are scaled so that the largest is 100.

Largest 12 diffraction maxima, low angle first, 10° ≤ 2θ ≤ 90°:
- hkl 0 0 2, 12.16 deg, rel. 74
- hkl 0 1 -2, 16.84 deg, rel. 63
- hkl 1 0 1, 17.63 deg, rel. 52
- hkl 1 1 -1, 20.62 deg, rel. 100
- hkl 0 0 4, 24.40 deg, rel. 30
- hkl 0 0 5, 30.63 deg, rel. 92
- hkl 1 -2 2, 31.88 deg, rel. 89
- hkl 2 0 -1, 32.25 deg, rel. 86
- hkl 1 2 2, 33.18 deg, rel. 66
- hkl 2 0 -2, 33.50 deg, rel. 30
- hkl -1 2 3, 34.51 deg, rel. 39
- hkl 0 4 0, 50.44 deg, rel. 47

Cell and atoms:
a = 5.5775 Å, b = 7.2474 Å, c = 14.6683 Å
α = 92.63°, β = 95.19°, γ = 90.66°
Space group P1 (No. 1)
Asymmetric unit:
Na1 0.0000 0.0000 0.0000 x1
Na2 0.0076 0.5227 0.9946 x1
Na3 0.2165 0.7513 0.2330 x1
Na4 0.2649 0.0254 0.4194 x1
Na5 0.3111 0.2547 0.6311 x1
Na6 0.3233 0.7804 0.5990 x1
Na7 0.5079 0.2621 0.9982 x1
Na8 0.6920 0.7434 0.3975 x1
Na9 0.7042 0.2691 0.3655 x1
Na10 0.7503 0.4984 0.5772 x1
Na11 0.7983 0.7725 0.7640 x1
Ti1 0.4814 0.7620 0.0058 x1
Nb1 0.2081 0.2703 0.2143 x1
Nb2 0.8075 0.2536 0.7819 x1
Si1 0.3089 0.9664 0.8142 x1
Si2 0.3251 0.5431 0.8021 x1
Si3 0.6914 0.9810 0.1946 x1
Si4 0.7077 0.5573 0.1820 x1
P1 0.1950 0.5065 0.4319 x1
P2 0.8203 0.0173 0.5647 x1
O1 0.0471 0.0498 0.7804 x1
O2 0.0754 0.4370 0.7571 x1
O3 0.0948 0.0178 0.5544 x1
O4 0.1919 0.2454 0.0912 x1
O5 0.2461 0.7594 0.0742 x1
O6 0.2511 0.3312 0.3686 x1
O7 0.2735 0.6884 0.3892 x1
O8 0.3043 0.7559 0.7631 x1
O9 0.3373 0.4884 0.5272 x1
O10 0.3489 0.9602 0.9245 x1
O11 0.3497 0.5537 0.9132 x1
O12 0.4574 0.0645 0.2436 x1
O13 0.4922 0.4481 0.2257 x1
O14 0.5232 0.0762 0.7702 x1
O15 0.5585 0.4593 0.7527 x1
O16 0.6690 0.9707 0.0833 x1
O17 0.6721 0.5639 0.0715 x1
O18 0.6778 0.0354 0.4694 x1
O19 0.7119 0.7679 0.2333 x1
O20 0.7418 0.8355 0.6075 x1
O21 0.7646 0.1927 0.6279 x1
O22 0.8231 0.2780 0.9051 x1
O23 0.9205 0.5060 0.4422 x1
O24 0.9407 0.0870 0.2397 x1
O25 0.9687 0.4736 0.2166 x1
F1 0.7850 0.7645 0.9200 x1


Starting from a crystal structure in the Materials Project, relaxed with PBE, the powder diffraction line list of Ce4CdPd was calculated for λ = 1.5418 Å (Cu Kα).
Intensities are scaled so that the largest is 100.

Largest 12 diffraction maxima, low angle first, 10° ≤ 2θ ≤ 90°:
- hkl 3 3 1, 27.90 deg, rel. 20
- hkl 4 2 2, 31.44 deg, rel. 44
- hkl 5 1 1, 33.40 deg, rel. 100
- hkl 4 4 0, 36.46 deg, rel. 37
- hkl 5 5 3, 50.27 deg, rel. 8
- hkl 7 3 3, 53.83 deg, rel. 9
- hkl 6 6 0, 55.97 deg, rel. 41
- hkl 5 5 5, 57.23 deg, rel. 14
- hkl 9 3 3, 66.77 deg, rel. 16
- hkl 9 5 1, 69.78 deg, rel. 10
- hkl 11 5 1, 84.21 deg, rel. 11
- hkl 10 6 4, 85.97 deg, rel. 13

Cell and atoms:
a = 13.9407 Å, b = 13.9407 Å, c = 13.9407 Å
α = 90.00°, β = 90.00°, γ = 90.00°
Space group F-43m (No. 216)
Asymmetric unit:
Ce1 0.0000 0.0000 0.1853 x24
Ce2 0.0534 0.2500 0.7500 x24
Ce3 0.1043 0.1043 0.3957 x16
Cd1 0.1703 0.1703 0.1703 x16
Pd1 0.1067 0.1067 0.6067 x16